Record 1
This entry pairs a crystal structure of YTmS3 with its simulated XRD peak list. Radiation: Cu Kα. Structure: a DFT-relaxed cell (PBE, Alexandria).

```
10
Lattice="7.7072 0.0000 0.0000 0.0000 3.8620 0.0000 -0.6397 0.0000 7.6924" Properties=species:S:1:pos:R:3 pbc="T T T"
Y 0.7422 0.9655 2.0776
Y 6.3252 2.8965 5.6148
Tm 2.2015 2.8965 6.3107
Tm 4.8659 0.9655 1.3818
S 0.3794 0.9655 6.8246
S 1.0567 2.8965 3.9933
S 2.9588 2.8965 1.3773
S 4.1086 0.9655 6.3151
S 6.0107 0.9655 3.6991
S 6.6881 2.8965 0.8678
```

Principal peaks in the range 10° ≤ 2θ ≤ 90°, sorted by position:
2θ = 15.6°, I = 49
2θ = 23.1°, I = 48
2θ = 25.0°, I = 49
2θ = 25.8°, I = 100
2θ = 26.8°, I = 52
2θ = 32.9°, I = 99
2θ = 34.3°, I = 43
2θ = 41.8°, I = 42



Record 2
This entry pairs a crystal structure of Y6TmS8 with its simulated XRD peak list. Radiation: Cu Kα. Structure: a DFT-relaxed cell (PBE, Alexandria).

```
15
Lattice="0.0000 5.5231 5.5231 5.5231 0.0000 5.5231 5.5231 5.5231 0.0000" Properties=species:S:1:pos:R:3 pbc="T T T"
Y 2.7616 2.7616 0.0000
Y 2.7616 0.0000 2.7616
Y 5.5231 2.7616 2.7616
Y 0.0000 2.7616 2.7616
Y 2.7616 5.5231 2.7616
Y 2.7616 2.7616 5.5231
Tm 0.0000 0.0000 0.0000
S 5.5231 5.5231 2.7340
S 5.5231 2.7340 5.5231
S 8.3123 5.5231 5.5231
S 2.7616 2.7616 2.7616
S 8.2847 8.2847 8.2847
S 2.7340 5.5231 5.5231
S 5.5231 8.3123 5.5231
S 5.5231 5.5231 8.3123
```

Principal peaks in the range 10° ≤ 2θ ≤ 90°, sorted by position:
2θ = 13.9°, I = 31
2θ = 28.0°, I = 40
2θ = 32.4°, I = 100
2θ = 46.5°, I = 70
2θ = 55.2°, I = 19
2θ = 57.8°, I = 24
2θ = 77.2°, I = 30
2θ = 86.3°, I = 23



Record 3
This entry pairs a crystal structure of YTm3S3 with its simulated XRD peak list. Radiation: Cu Kα. Structure: a DFT-relaxed cell (PBE, Alexandria).

```
28
Lattice="10.8435 0.0000 0.0000 0.0000 10.8435 0.0000 0.0000 0.0000 5.3752" Properties=species:S:1:pos:R:3 pbc="T T T"
Y 1.3130 1.3130 0.0000
Y 4.1088 6.7347 2.6876
Y 6.7347 4.1088 2.6876
Y 9.5305 9.5305 0.0000
Tm 1.3043 6.7941 0.0000
Tm 1.3723 4.1174 2.6876
Tm 1.3742 9.4693 2.6876
Tm 4.0476 4.0476 0.0000
Tm 4.0494 9.5392 0.0000
Tm 4.1174 1.3723 2.6876
Tm 6.7261 9.4712 2.6876
Tm 6.7941 1.3043 0.0000
Tm 6.7959 6.7959 0.0000
Tm 9.4693 1.3742 2.6876
Tm 9.4712 6.7261 2.6876
Tm 9.5392 4.0494 0.0000
S 1.3604 4.0707 0.0000
S 1.3511 6.7821 2.6876
S 1.3898 9.4537 0.0000
S 4.0319 4.0319 2.6876
S 4.0707 1.3604 0.0000
S 4.0614 9.4924 2.6876
S 6.7821 1.3511 2.6876
S 6.7728 9.4831 0.0000
S 6.8116 6.8116 2.6876
S 9.4537 1.3898 0.0000
S 9.4924 4.0614 2.6876
S 9.4831 6.7728 0.0000
```

Principal peaks in the range 10° ≤ 2θ ≤ 90°, sorted by position:
2θ = 28.6°, I = 100
2θ = 33.0°, I = 68
2θ = 33.3°, I = 34
2θ = 47.4°, I = 24
2θ = 47.6°, I = 48
2θ = 56.3°, I = 31
2θ = 59.2°, I = 25
2θ = 88.5°, I = 17



Record 4
This entry pairs a crystal structure of Y4TmS4 with its simulated XRD peak list. Radiation: Cu Kα. Structure: a DFT-relaxed cell (PBE, Alexandria).

```
9
Lattice="-4.3169 4.3169 2.7562 4.3169 -4.3169 2.7562 4.3169 4.3169 -2.7562" Properties=species:S:1:pos:R:3 pbc="T T T"
Y 6.0397 0.8741 0.0000
Y 0.8741 2.5941 0.0000
Y 3.4428 1.7228 2.7562
Y -1.7228 3.4428 2.7562
Tm 0.0000 0.0000 2.7562
S 3.4741 1.7428 0.0000
S 2.5741 -0.8428 2.7562
S 1.7428 5.1596 0.0000
S 0.8428 2.5741 2.7562
```

Principal peaks in the range 10° ≤ 2θ ≤ 90°, sorted by position:
2θ = 28.2°, I = 100
2θ = 32.5°, I = 46
2θ = 32.8°, I = 89
2θ = 46.8°, I = 64
2θ = 47.1°, I = 31
2θ = 55.8°, I = 30
2θ = 58.4°, I = 32
2θ = 87.3°, I = 21